This entry pairs a crystal structure of MgPaZnSn with its computed powder diffraction line list. Radiation: copper Kα. Structure: a crystal structure in Alexandria, relaxed with PBE.

The 10 most intense peaks (2θ = 10–80°), in order of rising 2θ:
two_theta	I (rel.)	index
21.57	49	1 1 1
24.96	2	2 0 0
35.59	100	2 2 0
42.00	28	3 1 1
51.22	18	4 0 0
56.20	12	3 3 1
63.92	37	4 2 2
68.31	9	5 1 1
75.36	12	4 4 0
79.47	9	5 3 1

```
data_MgPaZnSn
_chemical_formula_sum 'Mg4 Pa4 Zn4 Sn4'
_symmetry_space_group_name_H-M 'F -4 3 m'
_symmetry_Int_Tables_number 216
_symmetry_space_group_name_Hall 'F -4 2 3'
_cell_length_a 7.135
_cell_length_b 7.135
_cell_length_c 7.135
_cell_angle_alpha 90.00
_cell_angle_beta 90.00
_cell_angle_gamma 90.00
loop_
_atom_site_label
_atom_site_type_symbol
_atom_site_fract_x
_atom_site_fract_y
_atom_site_fract_z
Mg1 Mg 0.000 0.000 0.000
Pa1 Pa 0.000 0.000 0.500
Zn1 Zn 0.250 0.250 0.750
Sn1 Sn 0.250 0.250 0.250
```

This entry pairs a crystal structure of Mg2PaTl2 with its computed powder diffraction line list. Radiation: copper Kα. Structure: a crystal structure in Alexandria, relaxed with PBE.

The 10 most intense peaks (2θ = 10–80°), in order of rising 2θ:
two_theta	I (rel.)	index
23.36	15	0 0 6
24.13	100	1 0 1
31.32	20	0 0 8
33.92	30	1 1 0
36.55	56	1 0 7
41.60	22	1 1 6
46.84	18	1 1 8
48.73	15	2 0 0
55.10	22	2 1 1
62.43	24	2 1 7

```
data_Mg2PaTl2
_chemical_formula_sum 'Mg4 Pa2 Tl4'
_symmetry_space_group_name_H-M 'I 4/m m m'
_symmetry_Int_Tables_number 139
_symmetry_space_group_name_Hall '-I 4 2'
_cell_length_a 3.737
_cell_length_b 3.737
_cell_length_c 22.847
_cell_angle_alpha 90.00
_cell_angle_beta 90.00
_cell_angle_gamma 90.00
loop_
_atom_site_label
_atom_site_type_symbol
_atom_site_fract_x
_atom_site_fract_y
_atom_site_fract_z
Mg1 Mg 0.000 0.500 0.250
Pa1 Pa 0.000 0.000 0.000
Tl1 Tl 0.000 0.000 0.138
```

This entry pairs a crystal structure of YMgPa with its computed powder diffraction line list. Radiation: copper Kα. Structure: a crystal structure in Alexandria, relaxed with PBE.

The 10 most intense peaks (2θ = 10–80°), in order of rising 2θ:
two_theta	I (rel.)	index
14.55	72	0 0 2
22.63	22	0 2 2
29.04	47	1 1 3
31.94	100	1 3 1
33.81	23	2 0 0
34.23	35	0 2 4
36.99	25	2 0 2
41.08	20	2 2 2
52.79	19	1 5 3
59.32	17	3 3 1

```
data_YMgPa
_chemical_formula_sum 'Y8 Mg8 Pa8'
_symmetry_space_group_name_H-M 'F m m m'
_symmetry_Int_Tables_number 69
_symmetry_space_group_name_Hall '-F 2 2'
_cell_length_a 5.302
_cell_length_b 10.287
_cell_length_c 12.175
_cell_angle_alpha 90.00
_cell_angle_beta 90.00
_cell_angle_gamma 90.00
loop_
_atom_site_label
_atom_site_type_symbol
_atom_site_fract_x
_atom_site_fract_y
_atom_site_fract_z
Y1 Y 0.000 0.000 0.132
Mg1 Mg 0.250 0.250 0.250
Pa1 Pa 0.000 0.179 0.500
```

This entry pairs a crystal structure of MgPb3 with its computed powder diffraction line list. Radiation: copper Kα. Structure: a crystal structure in Alexandria, relaxed with PBE.

The 10 most intense peaks (2θ = 10–80°), in order of rising 2θ:
two_theta	I (rel.)	index
15.93	37	1 1 0
29.98	17	1 1 1
31.10	100	0 2 1
32.18	92	2 2 0
36.24	34	0 4 0
36.93	64	2 0 1
52.70	47	2 4 1
62.30	29	2 2 2
62.64	15	2 6 0
64.20	26	4 2 1

```
data_MgPb3
_chemical_formula_sum 'Mg2 Pb6'
_symmetry_space_group_name_H-M 'C m m m'
_symmetry_Int_Tables_number 65
_symmetry_space_group_name_Hall '-C 2 2'
_cell_length_a 6.721
_cell_length_b 9.916
_cell_length_c 3.530
_cell_angle_alpha 90.00
_cell_angle_beta 90.00
_cell_angle_gamma 90.00
loop_
_atom_site_label
_atom_site_type_symbol
_atom_site_fract_x
_atom_site_fract_y
_atom_site_fract_z
Mg1 Mg 0.000 0.000 0.000
Pb1 Pb 0.000 0.500 0.000
Pb2 Pb 0.250 0.250 0.500
```